Entry 1:
For LiMn2P2O8, a GGA+U-relaxed structure gives the calculated X-ray diffraction stick pattern in this record (λ = 1.5418 Å (Cu Kα)).

Peak list (10 most intense, 10 to 80 degrees two-theta, sorted by position)
17.43 deg, d = 5.089 Å, intensity 52, hkl 0 0 2; 20.20 deg, d = 4.396 Å, intensity 100, hkl 1 0 -1; 22.68 deg, d = 3.921 Å, intensity 23, hkl 0 1 -2; 24.90 deg, d = 3.576 Å, intensity 80, hkl -1 1 1; 29.04 deg, d = 3.075 Å, intensity 84, hkl 0 2 0; 32.15 deg, d = 2.784 Å, intensity 29, hkl 1 0 3; 35.35 deg, d = 2.539 Å, intensity 23, hkl 1 1 3; 35.40 deg, d = 2.536 Å, intensity 76, hkl 1 -1 3; 35.63 deg, d = 2.520 Å, intensity 39, hkl 1 2 1; 56.26 deg, d = 1.635 Å, intensity 24, hkl 0 1 6

Structural model:
a = 4.874 Å, b = 6.150 Å, c = 10.178 Å
α = 89.98°, β = 89.98°, γ = 89.83°
Element x y z (fractional)
Li  0.000  0.000  0.000
Li  0.499  0.518  0.502
Mn  0.037  0.763  0.718
Mn  0.455  0.753  0.216
Mn  0.541  0.261  0.782
Mn  0.951  0.255  0.282
P  0.078  0.265  0.596
P  0.418  0.252  0.097
P  0.576  0.761  0.903
P  0.918  0.756  0.401
O  0.165  0.260  0.450
O  0.206  0.072  0.674
O  0.228  0.469  0.657
O  0.232  0.741  0.389
O  0.262  0.776  0.892
O  0.269  0.048  0.159
O  0.289  0.445  0.175
O  0.329  0.256  0.951
O  0.674  0.758  0.047
O  0.701  0.566  0.825
O  0.726  0.963  0.838
O  0.733  0.239  0.111
O  0.763  0.278  0.610
O  0.770  0.553  0.335
O  0.793  0.950  0.323
O  0.821  0.757  0.545



Entry 2:
For LiMnPO4, a GGA+U-relaxed structure gives the calculated X-ray diffraction stick pattern in this record (λ = 1.5418 Å (Cu Kα)).

Peak list (10 most intense, 10 to 80 degrees two-theta, sorted by position)
18.89 deg, d = 4.698 Å, intensity 39, hkl 2 0 0; 19.90 deg, d = 4.462 Å, intensity 100, hkl 1 0 1; 27.78 deg, d = 3.212 Å, intensity 84, hkl 0 2 0; 33.64 deg, d = 2.664 Å, intensity 77, hkl 3 0 1; 33.81 deg, d = 2.651 Å, intensity 38, hkl 2 2 0; 36.72 deg, d = 2.447 Å, intensity 35, hkl 1 0 2; 38.32 deg, d = 2.349 Å, intensity 61, hkl 4 0 0; 42.92 deg, d = 2.107 Å, intensity 36, hkl 2 1 2; 44.17 deg, d = 2.051 Å, intensity 33, hkl 3 2 1; 45.59 deg, d = 1.990 Å, intensity 29, hkl 0 2 2

Structural model:
a = 9.396 Å, b = 6.423 Å, c = 5.070 Å
α = 90.00°, β = 90.00°, γ = 90.00°
Element x y z (fractional)
Li  0.000  0.000  0.000
Li  0.000  0.500  0.000
Li  0.500  0.000  0.500
Li  0.500  0.500  0.500
Mn  0.147  0.250  0.474
Mn  0.353  0.750  0.974
Mn  0.647  0.250  0.026
Mn  0.853  0.750  0.526
P  0.180  0.750  0.461
P  0.320  0.250  0.961
P  0.680  0.750  0.039
P  0.820  0.250  0.539
O  0.112  0.555  0.331
O  0.112  0.945  0.331
O  0.151  0.750  0.763
O  0.156  0.250  0.899
O  0.344  0.750  0.399
O  0.349  0.250  0.263
O  0.388  0.055  0.831
O  0.388  0.445  0.831
O  0.612  0.555  0.169
O  0.612  0.945  0.169
O  0.651  0.750  0.737
O  0.656  0.250  0.601
O  0.844  0.750  0.101
O  0.849  0.250  0.237
O  0.888  0.055  0.669
O  0.888  0.445  0.669



Entry 3:
For LiMnPO4, a GGA+U-relaxed structure gives the calculated X-ray diffraction stick pattern in this record (λ = 1.5418 Å (Cu Kα)).

Peak list (10 most intense, 10 to 80 degrees two-theta, sorted by position)
21.48 deg, d = 4.138 Å, intensity 100, hkl 0 1 2; 25.89 deg, d = 3.442 Å, intensity 8, hkl 2 0 3; 27.26 deg, d = 3.271 Å, intensity 6, hkl 1 1 3; 31.24 deg, d = 2.863 Å, intensity 8, hkl 2 1 3; 34.78 deg, d = 2.579 Å, intensity 17, hkl 0 2 0; 35.00 deg, d = 2.563 Å, intensity 15, hkl 4 0 0; 35.68 deg, d = 2.516 Å, intensity 10, hkl 2 1 4; 41.27 deg, d = 2.188 Å, intensity 5, hkl 2 2 2; 42.73 deg, d = 2.116 Å, intensity 8, hkl 0 1 6; 52.55 deg, d = 1.741 Å, intensity 6, hkl 0 0 8

Structural model:
a = 10.254 Å, b = 5.158 Å, c = 13.932 Å
α = 90.00°, β = 90.00°, γ = 90.00°
Element x y z (fractional)
Li  0.031  0.071  0.000
Li  0.222  0.447  0.249
Li  0.278  0.447  0.749
Li  0.469  0.071  0.500
Li  0.531  0.929  0.000
Li  0.722  0.553  0.249
Li  0.778  0.553  0.749
Li  0.969  0.929  0.500
Mn  0.034  0.941  0.251
Mn  0.216  0.443  0.500
Mn  0.284  0.443  0.000
Mn  0.466  0.941  0.751
Mn  0.534  0.059  0.251
Mn  0.716  0.557  0.500
Mn  0.784  0.557  0.000
Mn  0.966  0.059  0.751
P  0.032  0.565  0.874
P  0.216  0.947  0.626
P  0.284  0.947  0.126
P  0.468  0.565  0.374
P  0.532  0.435  0.874
P  0.716  0.053  0.626
P  0.784  0.053  0.126
P  0.968  0.435  0.374
O  0.002  0.862  0.879
O  0.026  0.565  0.466
O  0.035  0.545  0.282
O  0.067  0.004  0.623
O  0.181  0.511  0.872
O  0.221  0.068  0.034
O  0.224  0.069  0.218
O  0.244  0.650  0.627
O  0.256  0.650  0.127
O  0.276  0.069  0.718
O  0.279  0.068  0.534
O  0.319  0.511  0.372
O  0.433  0.004  0.123
O  0.465  0.545  0.782
O  0.474  0.565  0.966
O  0.498  0.862  0.379
O  0.502  0.138  0.879
O  0.526  0.435  0.466
O  0.535  0.455  0.282
O  0.567  0.996  0.623
O  0.681  0.489  0.872
O  0.721  0.932  0.034
O  0.724  0.931  0.218
O  0.744  0.350  0.627
O  0.756  0.350  0.127
O  0.776  0.931  0.718
O  0.779  0.932  0.534
O  0.819  0.489  0.372
O  0.933  0.996  0.123
O  0.965  0.455  0.782
O  0.974  0.435  0.966
O  0.998  0.138  0.379



Entry 4:
For LiMn2P2O8, a GGA+U-relaxed structure gives the calculated X-ray diffraction stick pattern in this record (λ = 1.5418 Å (Cu Kα)).

Peak list (10 most intense, 10 to 80 degrees two-theta, sorted by position)
19.93 deg, d = 4.455 Å, intensity 22, hkl 0 1 1; 20.97 deg, d = 4.236 Å, intensity 100, hkl 1 1 -1; 21.25 deg, d = 4.182 Å, intensity 18, hkl 1 0 -2; 22.06 deg, d = 4.029 Å, intensity 85, hkl 2 0 0; 27.02 deg, d = 3.299 Å, intensity 47, hkl 2 1 -1; 27.87 deg, d = 3.201 Å, intensity 63, hkl 1 0 2; 30.72 deg, d = 2.910 Å, intensity 38, hkl 2 1 -2; 33.50 deg, d = 2.675 Å, intensity 30, hkl 0 2 0; 35.37 deg, d = 2.538 Å, intensity 17, hkl 0 2 1; 37.58 deg, d = 2.393 Å, intensity 23, hkl 0 1 3

Structural model:
a = 8.532 Å, b = 5.350 Å, c = 8.499 Å
α = 90.00°, β = 109.09°, γ = 90.00°
Element x y z (fractional)
Li  0.000  0.166  0.000
Li  0.000  0.834  0.500
Mn  0.136  0.333  0.406
Mn  0.136  0.667  0.906
Mn  0.650  0.185  0.090
Mn  0.650  0.815  0.590
P  0.257  0.157  0.786
P  0.257  0.843  0.286
P  0.786  0.318  0.472
P  0.786  0.682  0.972
O  0.138  0.302  0.860
O  0.138  0.698  0.360
O  0.178  0.105  0.232
O  0.178  0.895  0.732
O  0.275  0.300  0.632
O  0.275  0.700  0.132
O  0.431  0.144  0.911
O  0.431  0.856  0.411
O  0.640  0.314  0.308
O  0.640  0.686  0.808
O  0.752  0.163  0.609
O  0.752  0.837  0.109
O  0.834  0.408  0.032
O  0.834  0.592  0.532
O  0.937  0.189  0.430
O  0.937  0.811  0.930